Starting from the PBE geometry in Alexandria, the XRD peak list of LiBi2As2Pb2O10 was simulated for copper Kα.

The 8 most intense peaks (2θ = 10–90°), by angle:
2theta, Rel. int.
23.07, 309
24.63, 633
25.88, 1000
26.49, 313
27.45, 612
30.52, 370
30.63, 464
32.21, 619

Crystal structure
```
data_LiBi2As2Pb2O10
_chemical_formula_sum 'Li1 Bi2 As2 Pb2 O10'
_symmetry_space_group_name_H-M 'P 1'
_symmetry_Int_Tables_number 1
_symmetry_space_group_name_Hall 'P 1'
_cell_length_a 5.8917
_cell_length_b 7.3846
_cell_length_c 7.5640
_cell_angle_alpha 109.71
_cell_angle_beta 107.30
_cell_angle_gamma 97.17
loop_
_atom_site_label
_atom_site_type_symbol
_atom_site_fract_x
_atom_site_fract_y
_atom_site_fract_z
_atom_site_occupancy
Li1 Li 0.0000 0.0000 0.0000 1
Bi1 Bi 0.6425 0.7735 0.5856 1
Bi2 Bi 0.8584 0.3172 0.7359 1
As1 As 0.1792 0.4021 0.3749 1
As2 As 0.4831 0.7501 0.0323 1
Pb1 Pb 0.1258 0.9726 0.4209 1
Pb2 Pb 0.4428 0.2270 0.9943 1
O1 O 0.0430 0.0727 0.7224 1
O2 O 0.0710 0.2909 0.1086 1
O3 O 0.2268 0.6677 0.4624 1
O4 O 0.2960 0.9113 0.0384 1
O5 O 0.3202 0.5066 0.8939 1
O6 O 0.4882 0.3977 0.4743 1
O7 O 0.5385 0.0607 0.6645 1
O8 O 0.6551 0.7766 0.2759 1
O9 O 0.6945 0.8138 0.9291 1
O10 O 0.9624 0.2983 0.4575 1
```


Starting from the PBE geometry in Alexandria, the XRD peak list of Mn2BiAs2 was simulated for copper Kα.

The 8 most intense peaks (2θ = 10–90°), by angle:
2theta, Rel. int.
23.87, 253
28.28, 202
31.26, 653
35.50, 1000
42.65, 402
46.54, 355
57.14, 238
64.96, 227

Crystal structure
```
data_Mn2BiAs2
_chemical_formula_sum 'Mn2 Bi1 As2'
_symmetry_space_group_name_H-M 'P 1'
_symmetry_Int_Tables_number 1
_symmetry_space_group_name_Hall 'P 1'
_cell_length_a 6.8890
_cell_length_b 6.8890
_cell_length_c 6.8890
_cell_angle_alpha 147.09
_cell_angle_beta 147.09
_cell_angle_gamma 47.23
loop_
_atom_site_label
_atom_site_type_symbol
_atom_site_fract_x
_atom_site_fract_y
_atom_site_fract_z
_atom_site_occupancy
Mn1 Mn 0.1102 0.1102 0.0000 1
Mn2 Mn 0.8898 0.8898 0.0000 1
Bi1 Bi 0.5000 0.5000 0.0000 1
As1 As 0.2500 0.7500 0.5000 1
As2 As 0.7500 0.2500 0.5000 1
```


Starting from the PBE geometry in Alexandria, the XRD peak list of Na6BiAs2 was simulated for copper Kα.

The 8 most intense peaks (2θ = 10–90°), by angle:
2theta, Rel. int.
11.59, 556
20.14, 1000
28.30, 853
34.95, 334
35.26, 768
40.67, 442
40.75, 219
50.48, 236

Crystal structure
```
data_Na6BiAs2
_chemical_formula_sum 'Na6 Bi1 As2'
_symmetry_space_group_name_H-M 'P 1'
_symmetry_Int_Tables_number 1
_symmetry_space_group_name_Hall 'P 1'
_cell_length_a 8.8185
_cell_length_b 8.8185
_cell_length_c 3.4630
_cell_angle_alpha 90.10
_cell_angle_beta 90.10
_cell_angle_gamma 120.02
loop_
_atom_site_label
_atom_site_type_symbol
_atom_site_fract_x
_atom_site_fract_y
_atom_site_fract_z
_atom_site_occupancy
Na1 Na 0.1531 0.1531 0.2641 1
Na2 Na 0.1532 0.4997 0.7368 1
Na3 Na 0.4997 0.1532 0.7368 1
Na4 Na 0.5003 0.8468 0.2632 1
Na5 Na 0.8468 0.5003 0.2632 1
Na6 Na 0.8469 0.8469 0.7359 1
Bi1 Bi 0.5000 0.5000 0.5000 1
As1 As 0.1667 0.8333 0.0000 1
As2 As 0.8333 0.1667 0.0000 1
```